This entry pairs a crystal structure of NdSm3Tm4 with its simulated XRD peak list. Radiation: copper Kα. Structure: a crystal structure in Alexandria, relaxed with GGA-PBE.

Cell and atoms:
Unit cell a=6.1823 b=3.5725 c=11.7245 alpha=90.00 beta=100.17 gamma=90.00
Positions (direct):
Nd 0.0000 0.0000 0.0000
Sm 0.0000 0.5000 0.5000
Sm 0.5000 0.0000 0.5000
Sm 0.5000 0.5000 0.0000
Tm 0.2498 0.0000 0.7494
Tm 0.2505 0.5000 0.2506
Tm 0.7502 0.0000 0.2506
Tm 0.7495 0.5000 0.7494

Largest 6 diffraction maxima, low angle first, 15° ≤ 2θ ≤ 90°:
d (Å)	2θ/deg	I (rel.)
2.912	30.70	1000
2.885	31.00	325
2.516	35.68	671
1.785	51.16	242
1.773	51.55	236
1.518	61.03	285